[1]
# Sn7Pd19
Simulated powder diffraction line list, λ = 1.5418 Å (Cu Kα). Input: a crystal structure in OQMD, relaxed with GGA-PBE.
Intensities are scaled so that the largest is 100.

Structural model:
```
data_Sn7Pd19
_chemical_formula_sum 'Sn7 Pd19'
_symmetry_space_group_name_H-M 'P 1'
_symmetry_Int_Tables_number 1
_cell_length_a 4.009
_cell_length_b 4.009
_cell_length_c 35.916
_cell_angle_alpha 90.00
_cell_angle_beta 90.00
_cell_angle_gamma 90.00
loop_
_symmetry_equiv_pos_as_xyz
'x,y,z'
loop_
_atom_site_label
_atom_site_type_symbol
_atom_site_fract_x
_atom_site_fract_y
_atom_site_fract_z
_atom_site_occupancy
Sn1 Sn 0.000 0.000 0.000 1
Sn2 Sn 0.000 0.000 0.112 1
Sn3 Sn 0.000 0.000 0.224 1
Sn4 Sn 0.000 0.000 0.338 1
Sn5 Sn 0.000 0.000 0.662 1
Sn6 Sn 0.000 0.000 0.776 1
Sn7 Sn 0.000 0.000 0.888 1
Pd1 Pd 0.000 0.500 0.056 1
Pd2 Pd 0.000 0.500 0.169 1
Pd3 Pd 0.000 0.500 0.282 1
Pd4 Pd 0.000 0.500 0.718 1
Pd5 Pd 0.000 0.500 0.831 1
Pd6 Pd 0.000 0.500 0.944 1
Pd7 Pd 0.500 0.000 0.056 1
Pd8 Pd 0.500 0.000 0.169 1
Pd9 Pd 0.500 0.000 0.282 1
Pd10 Pd 0.500 0.000 0.718 1
Pd11 Pd 0.500 0.000 0.831 1
Pd12 Pd 0.500 0.000 0.944 1
Pd13 Pd 0.500 0.500 0.000 1
Pd14 Pd 0.500 0.500 0.113 1
Pd15 Pd 0.500 0.500 0.226 1
Pd16 Pd 0.500 0.500 0.339 1
Pd17 Pd 0.500 0.500 0.661 1
Pd18 Pd 0.500 0.500 0.774 1
Pd19 Pd 0.500 0.500 0.887 1
```

The 12 most intense peaks (5 to 70 degrees two-theta), in order of rising 2θ:
Position (°2θ)  I_rel
7.4  11
36.2  6
37.5  24
39.0  100
40.5  4
42.2  3
42.8  7
45.2  41
45.5  18
64.0  8
65.9  13
66.1  20

[2]
# HoHfGa2Cu2
Simulated powder diffraction line list, λ = 1.5418 Å (Cu Kα). Input: a crystal structure in OQMD, relaxed with GGA-PBE.
Intensities are scaled so that the largest is 100.

Structural model:
```
data_HoHfGa2Cu2
_chemical_formula_sum 'Ho1 Hf1 Ga2 Cu2'
_symmetry_space_group_name_H-M 'P 1'
_symmetry_Int_Tables_number 1
_cell_length_a 4.281
_cell_length_b 4.281
_cell_length_c 6.683
_cell_angle_alpha 90.00
_cell_angle_beta 90.00
_cell_angle_gamma 120.00
loop_
_symmetry_equiv_pos_as_xyz
'x,y,z'
loop_
_atom_site_label
_atom_site_type_symbol
_atom_site_fract_x
_atom_site_fract_y
_atom_site_fract_z
_atom_site_occupancy
Ho1 Ho 0.000 0.000 0.000 1
Hf1 Hf 0.000 0.000 0.500 1
Ga1 Ga 0.333 0.667 0.276 1
Ga2 Ga 0.333 0.667 0.724 1
Cu1 Cu 0.667 0.333 0.287 1
Cu2 Cu 0.667 0.333 0.713 1
```

The 12 most intense peaks (5 to 70 degrees two-theta), in order of rising 2θ:
Position (°2θ)  I_rel
13.2  4
24.0  24
36.2  100
42.2  57
44.4  1
47.6  2
49.2  4
55.0  6
56.8  27
59.9  2
60.8  6
66.8  3

[3]
# Zr2CoGe
Simulated powder diffraction line list, λ = 1.5418 Å (Cu Kα). Input: a crystal structure in OQMD, relaxed with GGA-PBE.
Intensities are scaled so that the largest is 100.

Structural model:
```
data_Zr2CoGe
_chemical_formula_sum 'Zr4 Co2 Ge2'
_symmetry_space_group_name_H-M 'P 1'
_symmetry_Int_Tables_number 1
_cell_length_a 3.879
_cell_length_b 5.388
_cell_length_c 6.845
_cell_angle_alpha 90.00
_cell_angle_beta 90.00
_cell_angle_gamma 90.00
loop_
_symmetry_equiv_pos_as_xyz
'x,y,z'
loop_
_atom_site_label
_atom_site_type_symbol
_atom_site_fract_x
_atom_site_fract_y
_atom_site_fract_z
_atom_site_occupancy
Zr1 Zr 0.000 0.109 0.000 1
Zr2 Zr 0.000 0.891 0.500 1
Zr3 Zr 0.500 0.363 0.350 1
Zr4 Zr 0.500 0.637 0.850 1
Co1 Co 0.500 0.105 0.729 1
Co2 Co 0.500 0.895 0.229 1
Ge1 Ge 0.000 0.385 0.639 1
Ge2 Ge 0.000 0.615 0.139 1
```

The 12 most intense peaks (5 to 70 degrees two-theta), in order of rising 2θ:
Position (°2θ)  I_rel
31.3  34
35.0  72
35.8  54
38.9  60
43.0  100
46.8  32
56.4  18
60.3  23
63.2  9
65.5  15
66.2  9
69.8  8

[4]
# Pr2Pt8N
Simulated powder diffraction line list, λ = 1.5418 Å (Cu Kα). Input: a crystal structure in OQMD, relaxed with GGA-PBE.
Intensities are scaled so that the largest is 100.

Structural model:
```
data_Pr2Pt8N
_chemical_formula_sum 'Pr2 Pt8 N1'
_symmetry_space_group_name_H-M 'P 1'
_symmetry_Int_Tables_number 1
_cell_length_a 4.388
_cell_length_b 8.720
_cell_length_c 8.720
_cell_angle_alpha 143.51
_cell_angle_beta 90.00
_cell_angle_gamma 90.00
loop_
_symmetry_equiv_pos_as_xyz
'x,y,z'
loop_
_atom_site_label
_atom_site_type_symbol
_atom_site_fract_x
_atom_site_fract_y
_atom_site_fract_z
_atom_site_occupancy
Pr1 Pr 0.000 0.122 0.878 1
Pr2 Pr 0.000 0.878 0.122 1
Pt1 Pt 0.000 0.296 0.691 1
Pt2 Pt 0.000 0.551 0.551 1
Pt3 Pt 0.000 0.691 0.296 1
Pt4 Pt 0.500 0.363 0.564 1
Pt5 Pt 0.500 0.503 0.991 1
Pt6 Pt 0.500 0.564 0.363 1
Pt7 Pt 0.500 0.881 0.881 1
Pt8 Pt 0.500 0.991 0.503 1
N1 N 0.500 0.242 0.242 1
```

The 12 most intense peaks (5 to 70 degrees two-theta), in order of rising 2θ:
Position (°2θ)  I_rel
17.1  16
30.8  10
32.8  14
37.8  100
38.5  17
38.8  25
39.5  12
40.4  26
41.1  38
44.8  18
61.9  12
66.0  10

[5]
# Rb2Cu2WS4
Simulated powder diffraction line list, λ = 1.5418 Å (Cu Kα). Input: a crystal structure in OQMD, relaxed with GGA-PBE.
Intensities are scaled so that the largest is 100.

Structural model:
```
data_Rb2Cu2WS4
_chemical_formula_sum 'Rb4 Cu4 W2 S8'
_symmetry_space_group_name_H-M 'P 1'
_symmetry_Int_Tables_number 1
_cell_length_a 5.588
_cell_length_b 5.588
_cell_length_c 13.519
_cell_angle_alpha 90.00
_cell_angle_beta 90.00
_cell_angle_gamma 90.00
loop_
_symmetry_equiv_pos_as_xyz
'x,y,z'
loop_
_atom_site_label
_atom_site_type_symbol
_atom_site_fract_x
_atom_site_fract_y
_atom_site_fract_z
_atom_site_occupancy
Rb1 Rb 0.242 0.242 0.000 1
Rb2 Rb 0.242 0.758 0.500 1
Rb3 Rb 0.758 0.242 0.500 1
Rb4 Rb 0.758 0.758 0.000 1
Cu1 Cu 0.000 0.500 0.250 1
Cu2 Cu 0.000 0.500 0.750 1
Cu3 Cu 0.500 0.000 0.250 1
Cu4 Cu 0.500 0.000 0.750 1
W1 W 0.500 0.500 0.250 1
W2 W 0.500 0.500 0.750 1
S1 S 0.261 0.261 0.350 1
S2 S 0.261 0.261 0.650 1
S3 S 0.261 0.739 0.150 1
S4 S 0.261 0.739 0.850 1
S5 S 0.739 0.261 0.150 1
S6 S 0.739 0.261 0.850 1
S7 S 0.739 0.739 0.350 1
S8 S 0.739 0.739 0.650 1
```

The 12 most intense peaks (5 to 70 degrees two-theta), in order of rising 2θ:
Position (°2θ)  I_rel
13.1  46
15.9  55
20.6  67
26.4  37
30.1  66
34.7  100
38.4  21
45.1  18
45.9  42
52.1  56
53.7  21
55.9  20

[6]
# NdMg
Simulated powder diffraction line list, λ = 1.5418 Å (Cu Kα). Input: a crystal structure in OQMD, relaxed with GGA-PBE.
Intensities are scaled so that the largest is 100.

Structural model:
```
data_NdMg
_chemical_formula_sum 'Nd6 Mg6'
_symmetry_space_group_name_H-M 'P 1'
_symmetry_Int_Tables_number 1
_cell_length_a 5.486
_cell_length_b 10.160
_cell_length_c 6.294
_cell_angle_alpha 90.00
_cell_angle_beta 90.00
_cell_angle_gamma 90.00
loop_
_symmetry_equiv_pos_as_xyz
'x,y,z'
loop_
_atom_site_label
_atom_site_type_symbol
_atom_site_fract_x
_atom_site_fract_y
_atom_site_fract_z
_atom_site_occupancy
Nd1 Nd 0.000 0.069 0.000 1
Nd2 Nd 0.000 0.398 0.077 1
Nd3 Nd 0.000 0.602 0.577 1
Nd4 Nd 0.000 0.931 0.500 1
Nd5 Nd 0.500 0.406 0.745 1
Nd6 Nd 0.500 0.594 0.245 1
Mg1 Mg 0.000 0.254 0.549 1
Mg2 Mg 0.000 0.746 0.049 1
Mg3 Mg 0.500 0.083 0.698 1
Mg4 Mg 0.500 0.229 0.248 1
Mg5 Mg 0.500 0.771 0.748 1
Mg6 Mg 0.500 0.917 0.198 1
```

The 12 most intense peaks (5 to 70 degrees two-theta), in order of rising 2θ:
Position (°2θ)  I_rel
8.7  23
16.6  23
23.2  41
27.8  37
30.0  40
32.6  47
32.8  73
34.2  100
44.9  26
58.3  25
62.1  28
64.8  24

[7]
# PmSmNO
Simulated powder diffraction line list, λ = 1.5418 Å (Cu Kα). Input: a crystal structure in OQMD, relaxed with GGA-PBE.
Intensities are scaled so that the largest is 100.

Structural model:
```
data_PmSmNO
_chemical_formula_sum 'Pm4 Sm4 N4 O4'
_symmetry_space_group_name_H-M 'P 1'
_symmetry_Int_Tables_number 1
_cell_length_a 8.282
_cell_length_b 6.823
_cell_length_c 5.109
_cell_angle_alpha 90.00
_cell_angle_beta 90.00
_cell_angle_gamma 90.00
loop_
_symmetry_equiv_pos_as_xyz
'x,y,z'
loop_
_atom_site_label
_atom_site_type_symbol
_atom_site_fract_x
_atom_site_fract_y
_atom_site_fract_z
_atom_site_occupancy
Pm1 Pm 0.123 0.072 0.250 1
Pm2 Pm 0.123 0.428 0.750 1
Pm3 Pm 0.877 0.572 0.250 1
Pm4 Pm 0.877 0.928 0.750 1
Sm1 Sm 0.374 0.582 0.250 1
Sm2 Sm 0.374 0.918 0.750 1
Sm3 Sm 0.626 0.082 0.250 1
Sm4 Sm 0.626 0.418 0.750 1
N1 N 0.375 0.572 0.750 1
N2 N 0.375 0.928 0.250 1
N3 N 0.625 0.072 0.750 1
N4 N 0.625 0.428 0.250 1
O1 O 0.131 0.091 0.750 1
O2 O 0.131 0.409 0.250 1
O3 O 0.869 0.591 0.750 1
O4 O 0.869 0.909 0.250 1
```

The 12 most intense peaks (5 to 70 degrees two-theta), in order of rising 2θ:
Position (°2θ)  I_rel
25.2  36
26.1  23
30.7  100
31.5  40
35.1  34
43.7  34
44.3  11
45.5  31
54.9  18
57.3  16
58.8  29
60.3  16

[8]
# LiNd2Pd5
Simulated powder diffraction line list, λ = 1.5418 Å (Cu Kα). Input: a crystal structure in OQMD, relaxed with GGA-PBE.
Intensities are scaled so that the largest is 100.

Structural model:
```
data_LiNd2Pd5
_chemical_formula_sum 'Li1 Nd2 Pd5'
_symmetry_space_group_name_H-M 'P 1'
_symmetry_Int_Tables_number 1
_cell_length_a 5.907
_cell_length_b 5.907
_cell_length_c 5.907
_cell_angle_alpha 118.44
_cell_angle_beta 118.44
_cell_angle_gamma 92.73
loop_
_symmetry_equiv_pos_as_xyz
'x,y,z'
loop_
_atom_site_label
_atom_site_type_symbol
_atom_site_fract_x
_atom_site_fract_y
_atom_site_fract_z
_atom_site_occupancy
Li1 Li 0.000 0.000 0.000 1
Nd1 Nd 0.490 0.990 0.500 1
Nd2 Nd 0.990 0.490 0.500 1
Pd1 Pd 0.489 0.489 0.000 1
Pd2 Pd 0.491 0.491 0.503 1
Pd3 Pd 0.491 0.989 0.000 1
Pd4 Pd 0.989 0.491 0.000 1
Pd5 Pd 0.989 0.989 0.497 1
```

The 12 most intense peaks (5 to 70 degrees two-theta), in order of rising 2θ:
Position (°2θ)  I_rel
18.3  9
20.8  9
30.3  8
35.0  4
37.0  100
42.3  34
44.5  15
47.6  2
49.5  2
52.9  3
61.3  11
63.0  21

[9]
# CsPu2I6
Simulated powder diffraction line list, λ = 1.5418 Å (Cu Kα). Input: a crystal structure in OQMD, relaxed with GGA-PBE.
Intensities are scaled so that the largest is 100.

Structural model:
```
data_CsPu2I6
_chemical_formula_sum 'Cs1 Pu2 I6'
_symmetry_space_group_name_H-M 'P 1'
_symmetry_Int_Tables_number 1
_cell_length_a 8.135
_cell_length_b 8.135
_cell_length_c 8.582
_cell_angle_alpha 90.00
_cell_angle_beta 90.00
_cell_angle_gamma 120.00
loop_
_symmetry_equiv_pos_as_xyz
'x,y,z'
loop_
_atom_site_label
_atom_site_type_symbol
_atom_site_fract_x
_atom_site_fract_y
_atom_site_fract_z
_atom_site_occupancy
Cs1 Cs 0.000 0.000 0.000 1
Pu1 Pu 0.333 0.667 0.500 1
Pu2 Pu 0.667 0.333 0.500 1
I1 I 0.000 0.377 0.717 1
I2 I 0.000 0.623 0.283 1
I3 I 0.377 0.000 0.717 1
I4 I 0.377 0.377 0.283 1
I5 I 0.623 0.000 0.283 1
I6 I 0.623 0.623 0.717 1
```

The 12 most intense peaks (5 to 70 degrees two-theta), in order of rising 2θ:
Position (°2θ)  I_rel
10.3  51
12.6  19
16.3  72
24.2  81
30.3  100
35.3  29
38.3  41
38.5  31
47.7  19
49.6  20
58.2  17
64.4  18

[10]
# AgHgSO
Simulated powder diffraction line list, λ = 1.5418 Å (Cu Kα). Input: a crystal structure in OQMD, relaxed with GGA-PBE.
Intensities are scaled so that the largest is 100.

Structural model:
```
data_AgHgSO
_chemical_formula_sum 'Ag4 Hg4 S4 O4'
_symmetry_space_group_name_H-M 'P 1'
_symmetry_Int_Tables_number 1
_cell_length_a 6.747
_cell_length_b 3.506
_cell_length_c 12.461
_cell_angle_alpha 90.00
_cell_angle_beta 90.00
_cell_angle_gamma 90.00
loop_
_symmetry_equiv_pos_as_xyz
'x,y,z'
loop_
_atom_site_label
_atom_site_type_symbol
_atom_site_fract_x
_atom_site_fract_y
_atom_site_fract_z
_atom_site_occupancy
Ag1 Ag 0.246 0.250 0.027 1
Ag2 Ag 0.254 0.750 0.527 1
Ag3 Ag 0.746 0.250 0.473 1
Ag4 Ag 0.754 0.750 0.973 1
Hg1 Hg 0.035 0.250 0.753 1
Hg2 Hg 0.465 0.750 0.253 1
Hg3 Hg 0.535 0.250 0.747 1
Hg4 Hg 0.965 0.750 0.247 1
S1 S 0.217 0.250 0.393 1
S2 S 0.283 0.750 0.893 1
S3 S 0.717 0.250 0.107 1
S4 S 0.783 0.750 0.607 1
O1 O 0.219 0.750 0.141 1
O2 O 0.281 0.250 0.641 1
O3 O 0.719 0.750 0.359 1
O4 O 0.781 0.250 0.859 1
```

The 12 most intense peaks (5 to 70 degrees two-theta), in order of rising 2θ:
Position (°2θ)  I_rel
14.2  24
26.4  49
28.7  39
29.6  14
30.1  100
33.4  68
36.1  23
37.7  56
51.7  14
52.2  16
52.6  36
61.4  32

[11]
# CsHfTe4Au3
Simulated powder diffraction line list, λ = 1.5418 Å (Cu Kα). Input: a crystal structure in OQMD, relaxed with GGA-PBE.
Intensities are scaled so that the largest is 100.

Structural model:
```
data_CsHfTe4Au3
_chemical_formula_sum 'Cs2 Hf2 Te8 Au6'
_symmetry_space_group_name_H-M 'P 1'
_symmetry_Int_Tables_number 1
_cell_length_a 6.606
_cell_length_b 8.263
_cell_length_c 10.928
_cell_angle_alpha 90.00
_cell_angle_beta 105.80
_cell_angle_gamma 90.00
loop_
_symmetry_equiv_pos_as_xyz
'x,y,z'
loop_
_atom_site_label
_atom_site_type_symbol
_atom_site_fract_x
_atom_site_fract_y
_atom_site_fract_z
_atom_site_occupancy
Cs1 Cs 0.200 0.250 0.392 1
Cs2 Cs 0.800 0.750 0.608 1
Hf1 Hf 0.366 0.750 0.206 1
Hf2 Hf 0.634 0.250 0.794 1
Te1 Te 0.050 0.750 0.973 1
Te2 Te 0.200 0.750 0.407 1
Te3 Te 0.369 0.517 0.753 1
Te4 Te 0.369 0.983 0.753 1
Te5 Te 0.631 0.017 0.247 1
Te6 Te 0.631 0.483 0.247 1
Te7 Te 0.800 0.250 0.593 1
Te8 Te 0.950 0.250 0.027 1
Au1 Au 0.133 0.250 0.812 1
Au2 Au 0.310 0.047 0.031 1
Au3 Au 0.310 0.453 0.031 1
Au4 Au 0.690 0.547 0.969 1
Au5 Au 0.690 0.953 0.969 1
Au6 Au 0.867 0.750 0.188 1
```

The 12 most intense peaks (5 to 70 degrees two-theta), in order of rising 2θ:
Position (°2θ)  I_rel
8.4  100
13.6  29
25.5  16
25.7  23
25.9  18
28.6  23
30.6  15
38.5  36
39.3  26
43.0  19
43.8  16
44.1  16

[12]
# NaTbCdSe3
Simulated powder diffraction line list, λ = 1.5418 Å (Cu Kα). Input: a crystal structure in OQMD, relaxed with GGA-PBE.
Intensities are scaled so that the largest is 100.

Structural model:
```
data_NaTbCdSe3
_chemical_formula_sum 'Na4 Tb4 Cd4 Se12'
_symmetry_space_group_name_H-M 'P 1'
_symmetry_Int_Tables_number 1
_cell_length_a 13.932
_cell_length_b 4.190
_cell_length_c 11.347
_cell_angle_alpha 90.00
_cell_angle_beta 90.00
_cell_angle_gamma 90.00
loop_
_symmetry_equiv_pos_as_xyz
'x,y,z'
loop_
_atom_site_label
_atom_site_type_symbol
_atom_site_fract_x
_atom_site_fract_y
_atom_site_fract_z
_atom_site_occupancy
Na1 Na 0.244 0.250 0.093 1
Na2 Na 0.256 0.750 0.593 1
Na3 Na 0.744 0.250 0.407 1
Na4 Na 0.756 0.750 0.907 1
Tb1 Tb 0.023 0.250 0.347 1
Tb2 Tb 0.477 0.750 0.847 1
Tb3 Tb 0.523 0.250 0.153 1
Tb4 Tb 0.977 0.750 0.653 1
Cd1 Cd 0.014 0.750 0.100 1
Cd2 Cd 0.486 0.250 0.600 1
Cd3 Cd 0.514 0.750 0.400 1
Cd4 Cd 0.986 0.250 0.900 1
Se1 Se 0.104 0.250 0.575 1
Se2 Se 0.105 0.750 0.879 1
Se3 Se 0.149 0.750 0.260 1
Se4 Se 0.351 0.250 0.760 1
Se5 Se 0.395 0.250 0.379 1
Se6 Se 0.396 0.750 0.075 1
Se7 Se 0.604 0.250 0.925 1
Se8 Se 0.605 0.750 0.621 1
Se9 Se 0.649 0.750 0.240 1
Se10 Se 0.851 0.250 0.740 1
Se11 Se 0.895 0.250 0.121 1
Se12 Se 0.896 0.750 0.425 1
```

The 12 most intense peaks (5 to 70 degrees two-theta), in order of rising 2θ:
Position (°2θ)  I_rel
12.7  100
26.8  17
27.2  19
29.8  33
31.5  12
32.8  60
34.1  17
34.4  15
42.1  41
43.2  21
45.4  15
45.9  12